The following is a simulated powder XRD pattern of Ac2La5DyEr. It was derived from a DFT-relaxed cell (GGA-PBE, Alexandria), using λ = 1.5418 Å (Cu Kα).
Neutral-atom scattering factors, no anomalous dispersion.

Cell and atoms:
a = 5.670 Å, b = 22.648 Å, c = 10.615 Å
α = 90.00°, β = 90.00°, γ = 90.00°
Space group Cmcm (No. 63)
Inequivalent atoms, fractional coordinates:
1 Ac 0.000 0.116 0.014 (multiplicity 8)
2 La 0.000 0.005 0.750 (multiplicity 4)
3 La 0.000 0.277 0.061 (multiplicity 8)
4 La 0.000 0.376 0.750 (multiplicity 4)
5 La 0.000 0.500 0.000 (multiplicity 4)
6 Dy 0.000 0.212 0.750 (multiplicity 4)
7 Er 0.000 0.397 0.250 (multiplicity 4)

The 6 most intense peaks (10° ≤ 2θ ≤ 90°), low angle first:
- 25.8 deg, I = 23, hkl 1 3 2
- 30.4 deg, I = 100, hkl 1 5 2
- 31.6 deg, I = 44, hkl 2 0 0
- 33.8 deg, I = 17, hkl 0 0 4
- 46.9 deg, I = 20, hkl 2 0 4
- 55.5 deg, I = 19, hkl 3 5 2


The following is a simulated powder XRD pattern of NiAs2. It was derived from a DFT-relaxed cell (GGA-PBE, Alexandria), using λ = 1.5418 Å (Cu Kα).
Neutral-atom scattering factors, no anomalous dispersion.

Cell and atoms:
a = 2.787 Å, b = 2.787 Å, c = 14.117 Å
α = 90.00°, β = 90.00°, γ = 90.00°
Space group I4/mmm (No. 139)
Inequivalent atoms, fractional coordinates:
1 Ni 0.000 0.000 0.000 (multiplicity 2)
2 As 0.000 0.000 0.383 (multiplicity 4)

The 6 most intense peaks (10° ≤ 2θ ≤ 90°), low angle first:
- 12.5 deg, I = 95, hkl 0 0 2
- 37.5 deg, I = 100, hkl 1 0 3
- 45.7 deg, I = 88, hkl 1 0 5
- 46.1 deg, I = 53, hkl 1 1 0
- 71.8 deg, I = 24, hkl 1 1 8
- 85.1 deg, I = 28, hkl 2 1 5


The following is a simulated powder XRD pattern of TiMnNi5. It was derived from a DFT-relaxed cell (GGA-PBE, Alexandria), using λ = 1.5418 Å (Cu Kα).
Neutral-atom scattering factors, no anomalous dispersion.

Cell and atoms:
a = 3.560 Å, b = 3.560 Å, c = 6.941 Å
α = 90.00°, β = 90.00°, γ = 90.00°
Space group P4/mmm (No. 123)
Inequivalent atoms, fractional coordinates:
1 Ti 0.000 0.000 0.000 (multiplicity 1)
2 Mn 0.500 0.500 0.500 (multiplicity 1)
3 Ni 0.000 0.500 0.264 (multiplicity 4)
4 Ni 0.500 0.500 0.000 (multiplicity 1)

The 6 most intense peaks (10° ≤ 2θ ≤ 90°), low angle first:
- 25.0 deg, I = 7, hkl 1 0 0
- 44.5 deg, I = 100, hkl 1 1 2
- 51.3 deg, I = 32, hkl 2 0 0
- 52.8 deg, I = 14, hkl 0 0 4
- 75.5 deg, I = 9, hkl 2 2 0
- 76.7 deg, I = 16, hkl 2 0 4


The following is a simulated powder XRD pattern of Be2CrSi2. It was derived from a DFT-relaxed cell (GGA-PBE, Alexandria), using λ = 1.5418 Å (Cu Kα).
Neutral-atom scattering factors, no anomalous dispersion.

Cell and atoms:
a = 4.151 Å, b = 15.221 Å, c = 4.329 Å
α = 90.00°, β = 118.63°, γ = 90.00°
Space group C2/c (No. 15)
Inequivalent atoms, fractional coordinates:
1 Be 0.000 0.004 0.250 (multiplicity 4)
2 Be 0.000 0.246 0.250 (multiplicity 4)
3 Cr 0.000 0.374 0.750 (multiplicity 4)
4 Si 0.171 0.125 0.593 (multiplicity 8)

The 6 most intense peaks (10° ≤ 2θ ≤ 90°), low angle first:
- 23.4 deg, I = 100, hkl 0 4 0
- 42.2 deg, I = 41, hkl 1 1 1
- 45.3 deg, I = 39, hkl 2 2 -1
- 45.6 deg, I = 43, hkl 1 3 -2
- 47.8 deg, I = 22, hkl 0 8 0
- 51.9 deg, I = 30, hkl 1 5 1


> Number 2 is which compound?

NiAs2